(1)
Tb2ScSn2: computed PXRD pattern (copper Kα), based on a GGA-PBE-relaxed structure.

Structure:
abc: 4.9371 17.4428 6.3990
angles: 90.00 90.00 90.00
Space group Cmc2_1 (No. 36)
One atom of each set of equivalent atoms:
Tb 0.0000 0.9999 0.0000 (multiplicity 4)
Tb 0.0000 0.1958 0.2491 (multiplicity 4)
Sc 0.0000 0.3994 0.2504 (multiplicity 4)
Sn 0.0000 0.1829 0.7493 (multiplicity 4)
Sn 0.0000 0.4232 0.7501 (multiplicity 4)

Principal peaks in the range 2θ from 5° to 70°, low angle first:
h k l  Position (°2θ)  d [Å]  intensity
1 1 0  18.7  4.750  15
0 0 2  27.9  3.200  18
0 2 2  29.7  3.004  29
1 5 0  31.4  2.849  100
1 1 2  33.8  2.653  26
2 0 0  36.4  2.469  40
1 3 2  36.9  2.438  71
1 5 2  42.5  2.128  16
2 2 2  47.7  1.907  16
0 8 2  50.7  1.802  21
2 8 2  64.0  1.455  23
1 5 4  67.1  1.395  23


(2)
SmTmMgNi: computed PXRD pattern (copper Kα), based on a GGA-PBE-relaxed structure.

Structure:
abc: 7.1679 7.1679 7.1679
angles: 90.00 90.00 90.00
Space group F-43m (No. 216)
One atom of each set of equivalent atoms:
Sm 0.0000 0.0000 0.0000 (multiplicity 4)
Tm 0.0000 0.0000 0.5000 (multiplicity 4)
Mg 0.2500 0.2500 0.7500 (multiplicity 4)
Ni 0.2500 0.2500 0.2500 (multiplicity 4)

Principal peaks in the range 2θ from 5° to 70°, low angle first:
h k l  Position (°2θ)  d [Å]  intensity
1 1 1  21.5  4.138  3
2 0 0  24.8  3.584  38
2 2 0  35.4  2.534  100
3 1 1  41.8  2.161  1
2 2 2  43.7  2.069  11
4 0 0  51.0  1.792  18
3 3 1  55.9  1.644  1
4 2 0  57.5  1.603  16
4 2 2  63.6  1.463  36


(3)
Ca5CePb6: computed PXRD pattern (copper Kα), based on a GGA-PBE-relaxed structure.

Structure:
abc: 5.1424 9.0889 15.5573
angles: 90.00 90.00 90.00
Space group Immm (No. 71)
One atom of each set of equivalent atoms:
Ca 0.0000 0.0000 0.0000 (multiplicity 2)
Ca 0.0000 0.0000 0.3281 (multiplicity 4)
Ca 0.0000 0.5000 0.3345 (multiplicity 4)
Ce 0.0000 0.5000 0.0000 (multiplicity 2)
Pb 0.0000 0.2471 0.5000 (multiplicity 4)
Pb 0.0000 0.2516 0.1657 (multiplicity 8)

Principal peaks in the range 2θ from 5° to 70°, low angle first:
h k l  Position (°2θ)  d [Å]  intensity
0 2 0  19.5  4.544  23
1 0 3  24.4  3.651  28
1 2 3  31.4  2.846  100
0 0 6  34.6  2.593  19
2 0 0  34.9  2.571  19
0 4 0  39.7  2.272  13
2 0 6  50.0  1.826  14
0 4 6  53.6  1.709  11
1 2 9  60.0  1.541  16
3 2 3  60.4  1.532  16
2 4 6  65.6  1.423  12
1 6 3  66.9  1.399  12


(4)
Al2TlAuBr8: computed PXRD pattern (copper Kα), based on a GGA-PBE-relaxed structure.

Structure:
abc: 7.6017 7.6017 9.3169
angles: 90.00 90.00 120.00
Space group P-3m1 (No. 164)
One atom of each set of equivalent atoms:
Al 0.3333 0.6667 0.2134 (multiplicity 2)
Tl 0.0000 0.0000 0.0000 (multiplicity 1)
Au 0.0000 0.0000 0.5000 (multiplicity 1)
Br 0.1644 0.3288 0.2947 (multiplicity 6)
Br 0.3333 0.6667 0.9668 (multiplicity 2)

Principal peaks in the range 2θ from 5° to 70°, low angle first:
h k l  Position (°2θ)  d [Å]  intensity
1 0 0  13.4  6.583  100
1 0 1  16.5  5.377  34
1 1 0  23.4  3.802  76
0 0 3  28.8  3.104  48
1 1 2  30.4  2.945  88
2 0 2  33.3  2.688  58
3 0 0  41.1  2.195  41
3 0 2  45.7  1.985  44
2 2 0  47.9  1.901  57
1 3 2  53.9  1.700  19
4 1 0  64.9  1.437  20
1 4 2  68.3  1.373  17


(5)
Mg6Cd5Ga: computed PXRD pattern (copper Kα), based on a GGA-PBE-relaxed structure.

Structure:
abc: 5.1687 6.4001 7.7811
angles: 90.00 97.58 90.00
Space group P2/m (No. 10)
One atom of each set of equivalent atoms:
Mg 0.0000 0.2446 0.0000 (multiplicity 2)
Mg 0.3398 0.2479 0.6711 (multiplicity 4)
Cd 0.1635 0.0000 0.3361 (multiplicity 2)
Cd 0.1638 0.5000 0.3361 (multiplicity 2)
Cd 0.5000 0.5000 0.0000 (multiplicity 1)
Ga 0.5000 0.0000 0.0000 (multiplicity 1)

Principal peaks in the range 2θ from 5° to 70°, low angle first:
h k l  Position (°2θ)  d [Å]  intensity
1 0 1  22.1  4.030  65
1 0 -2  27.0  3.297  40
0 2 0  27.9  3.200  37
0 0 3  34.9  2.571  54
2 0 -1  35.4  2.533  52
1 2 1  35.8  2.506  100
1 2 -2  39.2  2.296  77
2 0 2  45.0  2.015  26
0 2 3  45.2  2.004  19
2 2 -1  45.7  1.986  19
1 2 4  60.8  1.523  20
3 2 0  61.6  1.507  19


(6)
Ba2CaDy3O8: computed PXRD pattern (copper Kα), based on a GGA-PBE-relaxed structure.

Structure:
abc: 7.0151 7.0151 18.5046
angles: 90.00 90.00 120.00
Space group R3m (No. 160, hexagonal axes)
One atom of each set of equivalent atoms:
Ba 0.0000 0.0000 0.0000 (multiplicity 3)
Ba 0.0000 0.0000 0.3736 (multiplicity 3)
Ca 0.0000 0.0000 0.6059 (multiplicity 3)
Dy 0.0010 0.5005 0.5004 (multiplicity 9)
O 0.0000 0.0000 0.2306 (multiplicity 3)
O 0.0000 0.0000 0.7698 (multiplicity 3)
O 0.0365 0.5182 0.7690 (multiplicity 9)
O 0.1761 0.3523 0.5681 (multiplicity 9)

Principal peaks in the range 2θ from 5° to 70°, low angle first:
h k l  Position (°2θ)  d [Å]  intensity
0 0 3  14.4  6.168  44
1 0 1  15.4  5.772  51
0 1 5  28.2  3.161  60
1 1 3  29.3  3.049  100
0 2 1  29.8  2.998  62
2 0 2  31.0  2.886  64
0 2 4  35.3  2.539  58
0 2 7  45.5  1.994  26
1 2 5  46.5  1.951  34
0 3 3  47.2  1.924  27
2 0 8  49.5  1.840  50
2 2 0  52.2  1.754  48


(7)
Pr4Tl2Ni: computed PXRD pattern (copper Kα), based on a GGA-PBE-relaxed structure.

Structure:
abc: 6.8004 3.8719 8.7929
angles: 90.00 102.94 90.00
Space group P2/m (No. 10)
One atom of each set of equivalent atoms:
Pr 0.1569 0.0000 0.3417 (multiplicity 2)
Pr 0.2584 0.5000 0.9797 (multiplicity 2)
Tl 0.4059 0.5000 0.6524 (multiplicity 2)
Ni 0.0000 0.0000 0.0000 (multiplicity 1)

Principal peaks in the range 2θ from 5° to 70°, low angle first:
h k l  Position (°2θ)  d [Å]  intensity
1 1 0  26.7  3.344  100
1 1 1  29.8  3.002  78
2 0 -2  30.2  2.962  63
2 0 1  31.0  2.880  61
0 0 3  31.3  2.857  90
1 1 -2  32.0  2.793  35
2 1 -2  38.3  2.352  31
2 1 1  39.0  2.312  34
1 1 -3  39.1  2.303  66
0 2 0  46.9  1.936  32
1 1 4  53.3  1.718  23
0 2 3  57.5  1.602  35


(8)
CaB2C6: computed PXRD pattern (copper Kα), based on a GGA-PBE-relaxed structure.

Structure:
abc: 5.1677 8.9016 9.0489
angles: 90.00 90.00 90.00
Space group Fmm2 (No. 42)
One atom of each set of equivalent atoms:
Ca 0.0000 0.0000 0.0000 (multiplicity 4)
B 0.0000 0.2424 0.6628 (multiplicity 8)
C 0.0000 0.2480 0.8339 (multiplicity 8)
C 0.2500 0.2500 0.0752 (multiplicity 8)
C 0.2500 0.2500 0.4144 (multiplicity 8)

Principal peaks in the range 2θ from 5° to 70°, low angle first:
h k l  Position (°2θ)  d [Å]  intensity
0 0 2  19.6  4.524  44
0 2 0  19.9  4.451  48
1 1 1  22.2  4.007  100
0 2 2  28.1  3.173  22
1 1 3  35.9  2.500  28
1 3 1  36.3  2.475  27
2 2 0  40.4  2.235  12
0 4 0  40.5  2.225  37
0 2 4  44.9  2.017  23
2 2 2  45.3  2.004  47
1 3 3  46.4  1.958  12
1 5 3  63.3  1.470  9


(9)
Rb3In2Cl9: computed PXRD pattern (copper Kα), based on a GGA-PBE-relaxed structure.

Structure:
abc: 7.3748 7.3748 18.9838
angles: 90.00 90.00 120.00
Space group P6_3/mmc (No. 194)
One atom of each set of equivalent atoms:
Rb 0.0000 0.0000 0.2500 (multiplicity 2)
Rb 0.3333 0.6667 0.0642 (multiplicity 4)
In 0.3333 0.6667 0.6556 (multiplicity 4)
Cl 0.0237 0.5118 0.7500 (multiplicity 6)
Cl 0.1678 0.3355 0.5894 (multiplicity 12)

Principal peaks in the range 2θ from 5° to 70°, low angle first:
h k l  Position (°2θ)  d [Å]  intensity
1 0 0  13.9  6.387  32
1 0 1  14.6  6.053  100
1 1 0  24.1  3.687  92
1 0 5  27.3  3.264  84
2 0 2  29.5  3.027  50
2 0 3  31.4  2.851  53
2 0 4  33.8  2.649  63
2 0 5  36.8  2.444  65
3 0 0  42.5  2.129  21
2 1 5  44.5  2.037  54
2 2 0  49.4  1.844  54
1 1 10  54.4  1.688  25


(10)
Ce12OsPb6: computed PXRD pattern (copper Kα), based on a GGA-PBE-relaxed structure.

Structure:
abc: 12.5072 12.5072 13.1082
angles: 90.00 90.00 120.00
Space group R-3 (No. 148, hexagonal axes)
One atom of each set of equivalent atoms:
Ce 0.0202 0.1744 0.4338 (multiplicity 18)
Ce 0.0845 0.8914 0.8573 (multiplicity 18)
Os 0.0000 0.0000 0.0000 (multiplicity 3)
Pb 0.0220 0.3905 0.3040 (multiplicity 18)

Principal peaks in the range 2θ from 5° to 70°, low angle first:
h k l  Position (°2θ)  d [Å]  intensity
0 1 2  15.8  5.607  31
2 1 1  22.8  3.908  50
2 -1 3  24.9  3.582  28
2 2 0  28.5  3.130  32
1 3 1  30.5  2.928  52
3 0 3  32.2  2.783  100
3 1 2  32.8  2.731  58
2 1 4  35.1  2.558  43
4 -2 3  35.3  2.543  57
5 -3 2  38.8  2.324  28
2 -1 6  43.9  2.062  24
4 3 4  59.0  1.564  23


(11)
LiCeH4: computed PXRD pattern (copper Kα), based on a GGA-PBE-relaxed structure.

Structure:
abc: 3.5854 3.5854 8.8651
angles: 90.00 90.00 90.00
Space group P4/nmm (No. 129, origin choice 2)
One atom of each set of equivalent atoms:
Li 0.2500 0.2500 0.0905 (multiplicity 2)
Ce 0.2500 0.2500 0.6719 (multiplicity 2)
H 0.2500 0.2500 0.3266 (multiplicity 2)
H 0.2500 0.7500 0.1519 (multiplicity 4)
H 0.2500 0.7500 0.5000 (multiplicity 2)

Principal peaks in the range 2θ from 5° to 70°, low angle first:
h k l  Position (°2θ)  d [Å]  intensity
0 0 1  10.0  8.865  63
0 0 2  20.0  4.433  21
1 0 1  26.8  3.324  100
0 0 3  30.2  2.955  24
1 0 2  32.1  2.788  63
1 1 0  35.4  2.535  34
1 1 3  47.2  1.924  31
1 0 4  48.3  1.885  22
2 0 0  50.9  1.793  13
2 1 1  58.5  1.578  23
2 0 3  60.4  1.533  14
2 1 2  61.5  1.508  20


(12)
RbCaBr3: computed PXRD pattern (copper Kα), based on a GGA-PBE-relaxed structure.

Structure:
abc: 7.7591 7.7591 8.5931
angles: 90.03 90.02 119.99
Space group P1 (No. 1)
One atom of each set of equivalent atoms:
Rb 0.0000 0.0000 0.0000 (multiplicity 1)
Rb 0.3331 0.6666 0.4938 (multiplicity 1)
Ca 0.3333 0.6667 0.9925 (multiplicity 1)
Ca 0.6666 0.3333 0.9910 (multiplicity 1)
Br 0.0016 0.3886 0.1889 (multiplicity 1)
Br 0.0022 0.6197 0.7979 (multiplicity 1)
Br 0.3797 0.3823 0.7980 (multiplicity 1)
Br 0.3872 0.9988 0.1890 (multiplicity 1)
Br 0.6118 0.6134 0.1889 (multiplicity 1)
Br 0.6172 0.9972 0.7980 (multiplicity 1)

Principal peaks in the range 2θ from 5° to 70°, low angle first:
h k l  Position (°2θ)  d [Å]  intensity
0 0 1  10.3  8.593  60
1 0 0  13.2  6.720  21
1 0 1  16.7  5.293  16
2 -1 1  25.2  3.536  91
0 2 -1  28.5  3.129  15
1 1 -2  31.1  2.879  100
2 1 1  36.9  2.436  23
1 1 3  39.1  2.304  25
3 0 0  40.3  2.240  36
1 -2 4  48.4  1.879  21
-1 4 1  50.1  1.821  16
2 -4 2  51.7  1.768  14


(13)
Tl3ICl4: computed PXRD pattern (copper Kα), based on a GGA-PBE-relaxed structure.

Structure:
abc: 8.9261 11.5026 6.5121
angles: 90.00 90.00 90.00
Space group Pmn2_1 (No. 31)
One atom of each set of equivalent atoms:
Tl 0.0000 0.1097 0.0000 (multiplicity 2)
Tl 0.2444 0.6810 0.9999 (multiplicity 4)
I 0.0000 0.6275 0.4996 (multiplicity 2)
Cl 0.0000 0.1516 0.4998 (multiplicity 2)
Cl 0.0000 0.8583 0.9985 (multiplicity 2)
Cl 0.2113 0.3683 0.9997 (multiplicity 4)

Principal peaks in the range 2θ from 5° to 70°, low angle first:
h k l  Position (°2θ)  d [Å]  intensity
1 2 0  18.4  4.835  48
1 1 1  18.5  4.784  49
2 1 0  21.4  4.161  37
2 1 1  25.4  3.506  100
0 3 1  27.0  3.304  29
0 0 2  27.4  3.256  72
2 2 1  28.8  3.100  27
2 3 0  30.7  2.908  36
3 1 1  34.0  2.633  26
2 4 1  39.8  2.266  36
2 3 2  41.6  2.169  31
4 0 2  49.5  1.841  29